Computed X-ray diffraction stick pattern of InReTe2 for λ = 1.5418 Å (Cu Kα), from a GGA-PBE-relaxed structure.

Structure:
Unit cell a=3.4121 b=3.4121 c=30.0667 alpha=90.00 beta=90.00 gamma=120.00
Positions (direct):
In 0.0000 0.0000 0.0000
In 0.3333 0.6667 0.6667
In 0.6667 0.3333 0.3333
Re 0.0000 0.0000 0.7369
Re 0.3333 0.6667 0.4036
Re 0.6667 0.3333 0.0702
Te 0.0000 0.0000 0.2517
Te 0.0000 0.0000 0.4618
Te 0.3333 0.6667 0.1285
Te 0.3333 0.6667 0.9184
Te 0.6667 0.3333 0.5850
Te 0.6667 0.3333 0.7952

Peak list (8 most intense, 10° ≤ 2θ ≤ 90°, most intense first)
d (Å)	Rel. int.
2.750	100
2.323	40
2.006	33
1.706	28
2.434	22
1.299	20
5.011	14
1.450	14

---

Computed X-ray diffraction stick pattern of TiInRe for λ = 1.5418 Å (Cu Kα), from a GGA-PBE-relaxed structure.

Structure:
Unit cell a=3.0071 b=3.0071 c=24.9131 alpha=90.00 beta=90.00 gamma=90.00
Positions (direct):
Ti 0.0000 0.0000 0.1464
Ti 0.0000 0.0000 0.8536
Ti 0.5000 0.5000 0.3536
Ti 0.5000 0.5000 0.6464
In 0.0000 0.0000 0.4413
In 0.0000 0.0000 0.5587
In 0.5000 0.5000 0.0587
In 0.5000 0.5000 0.9413
Re 0.0000 0.0000 0.2808
Re 0.0000 0.0000 0.7192
Re 0.5000 0.5000 0.2192
Re 0.5000 0.5000 0.7808

Peak list (8 most intense, 10° ≤ 2θ ≤ 90°, most intense first)
d (Å)	Rel. int.
2.297	100
2.126	45
1.258	28
6.228	27
2.985	26
2.575	20
1.809	17
1.504	15

---

Computed X-ray diffraction stick pattern of YIn2Re for λ = 1.5418 Å (Cu Kα), from a GGA-PBE-relaxed structure.

Structure:
Unit cell a=3.2111 b=3.2111 c=29.5248 alpha=90.00 beta=90.00 gamma=120.00
Positions (direct):
Y 0.0000 0.0000 0.0000
Y 0.3333 0.6667 0.6667
Y 0.6667 0.3333 0.3333
In 0.0000 0.0000 0.2399
In 0.0000 0.0000 0.7601
In 0.3333 0.6667 0.4268
In 0.3333 0.6667 0.9066
In 0.6667 0.3333 0.0934
In 0.6667 0.3333 0.5732
Re 0.0000 0.0000 0.5000
Re 0.3333 0.6667 0.1667
Re 0.6667 0.3333 0.8333

Peak list (8 most intense, 10° ≤ 2θ ≤ 90°, most intense first)
d (Å)	Rel. int.
2.602	100
2.221	58
1.606	23
2.460	22
1.345	20
1.366	13
1.538	12
2.322	11

---

Computed X-ray diffraction stick pattern of ZnInRe2 for λ = 1.5418 Å (Cu Kα), from a GGA-PBE-relaxed structure.

Structure:
Unit cell a=4.2154 b=4.2925 c=7.0857 alpha=90.00 beta=90.00 gamma=90.00
Positions (direct):
Zn 0.0000 0.0000 0.0000
Zn 0.5000 0.5000 0.5000
In 0.0000 0.5000 0.7519
In 0.5000 0.0000 0.2519
Re 0.0000 0.0000 0.5054
Re 0.0000 0.5000 0.2480
Re 0.5000 0.0000 0.7480
Re 0.5000 0.5000 0.0054

Peak list (8 most intense, 10° ≤ 2θ ≤ 90°, most intense first)
d (Å)	Rel. int.
2.293	100
2.146	21
2.108	20
1.266	15
1.250	14
1.504	13
1.771	11
1.146	11